# Ba2Zn2SnGe
Calculated X-ray powder pattern, Cu Kα X-rays. Input: a PBE-relaxed structure.
Lines closer than 0.1° are merged.

The 12 most intense peaks (5 to 70 degrees two-theta), most intense first:
(hkl)  Position (°2θ)  I/Imax
1 0 2  28.70  100.0
1 1 0  38.98  42.4
1 1 4  54.34  31.5
0 2 2  49.12  22.4
2 1 2  64.41  19.8
0 0 4  36.33  17.0
1 0 6  60.77  11.3
1 0 0  22.21  5.1
1 0 1  23.99  2.7
0 0 2  17.94  1.7
1 0 4  43.00  1.6
0 0 1  8.94  1.3

Cell and atoms:
Unit cell a=4.6209 b=4.6209 c=9.8908 alpha=90.00 beta=90.00 gamma=120.00
Space group P3m1 (No. 156)
Unique sites:
Ba: 0.0000 0.0000 0.0000 (multiplicity 1)
Ba: 0.0000 0.0000 0.4858 (multiplicity 1)
Zn: 0.3333 0.6667 0.2419 (multiplicity 1)
Zn: 0.6667 0.3333 0.7418 (multiplicity 1)
Sn: 0.3333 0.6667 0.7428 (multiplicity 1)
Ge: 0.6667 0.3333 0.2426 (multiplicity 1)